(1)
This entry pairs a crystal structure of LiMnPCO7 with its theoretical powder diffraction line list. Radiation: a wavelength of 1.5418 Å. Structure: the PBE+U geometry in the Materials Project.
Neutral-atom scattering factors, no anomalous dispersion.

Peak list (12 most intense, 2θ = 10–90°, sorted by position)
- 2θ = 10.6°, 8.348 Å, rel. 100.0
- 2θ = 17.7°, 5.000 Å, rel. 47.3
- 2θ = 19.8°, 4.490 Å, rel. 40.9
- 2θ = 21.1°, 4.214 Å, rel. 52.6
- 2θ = 22.5°, 3.945 Å, rel. 21.2
- 2θ = 25.5°, 3.493 Å, rel. 30.2
- 2θ = 26.6°, 3.346 Å, rel. 36.8
- 2θ = 28.6°, 3.122 Å, rel. 84.5
- 2θ = 32.1°, 2.788 Å, rel. 16.8
- 2θ = 35.3°, 2.544 Å, rel. 15.3
- 2θ = 36.2°, 2.484 Å, rel. 17.4
- 2θ = 40.7°, 2.217 Å, rel. 17.4

Structural model:
```
LiMnPCO7
1.0
9.486 0.000 0.000
0.000 6.244 0.000
-4.846 0.000 8.979
Li Mn P C O
4 4 4 4 28
Direct
0.239 0.032 0.495
0.239 0.468 0.995
0.761 0.532 0.005
0.761 0.968 0.505
0.171 0.749 0.188
0.171 0.751 0.688
0.829 0.249 0.312
0.829 0.251 0.812
0.075 0.250 0.176
0.075 0.250 0.676
0.925 0.750 0.324
0.925 0.750 0.824
0.452 0.742 0.872
0.452 0.758 0.372
0.548 0.242 0.628
0.548 0.258 0.128
0.037 0.240 0.309
0.037 0.260 0.809
0.085 0.728 0.969
0.085 0.772 0.469
0.176 0.054 0.181
0.176 0.446 0.681
0.188 0.059 0.689
0.188 0.441 0.189
0.330 0.735 0.901
0.330 0.765 0.401
0.398 0.744 0.226
0.398 0.756 0.726
0.406 0.233 0.533
0.406 0.267 0.033
0.594 0.733 0.967
0.594 0.767 0.467
0.602 0.244 0.274
0.602 0.256 0.774
0.670 0.235 0.599
0.670 0.265 0.099
0.812 0.559 0.811
0.812 0.941 0.311
0.824 0.554 0.319
0.824 0.946 0.819
0.915 0.228 0.531
0.915 0.272 0.031
0.963 0.740 0.191
0.963 0.760 0.691
```



(2)
This entry pairs a crystal structure of LiMnPCO7 with its theoretical powder diffraction line list. Radiation: a wavelength of 1.5418 Å. Structure: the PBE+U geometry in the Materials Project.
Neutral-atom scattering factors, no anomalous dispersion.

Peak list (12 most intense, 2θ = 10–90°, sorted by position)
- 2θ = 10.2°, 8.678 Å, rel. 100.0
- 2θ = 17.5°, 5.055 Å, rel. 52.2
- 2θ = 19.5°, 4.554 Å, rel. 36.2
- 2θ = 20.6°, 4.313 Å, rel. 42.5
- 2θ = 22.4°, 3.966 Å, rel. 17.2
- 2θ = 25.1°, 3.544 Å, rel. 20.1
- 2θ = 26.0°, 3.424 Å, rel. 34.0
- 2θ = 27.7°, 3.222 Å, rel. 10.8
- 2θ = 28.7°, 3.109 Å, rel. 54.7
- 2θ = 34.8°, 2.575 Å, rel. 12.5
- 2θ = 39.4°, 2.286 Å, rel. 15.2
- 2θ = 54.9°, 1.672 Å, rel. 9.4

Structural model:
```
LiMnPCO7
1.0
5.160 0.000 0.000
0.000 6.218 0.000
-0.537 0.000 8.678
Li Mn P C O
2 2 2 2 14
Direct
0.220 0.000 0.295
0.780 0.500 0.705
0.213 0.278 0.841
0.787 0.778 0.159
0.274 0.782 0.930
0.726 0.282 0.070
0.278 0.272 0.567
0.722 0.772 0.433
0.048 0.282 0.627
0.136 0.792 0.083
0.185 0.588 0.829
0.207 0.975 0.824
0.313 0.241 0.430
0.428 0.271 0.029
0.466 0.291 0.678
0.534 0.791 0.322
0.572 0.771 0.971
0.687 0.741 0.570
0.793 0.475 0.176
0.815 0.088 0.171
0.864 0.292 0.917
0.952 0.782 0.373
```



(3)
This entry pairs a crystal structure of LiMnPCO7 with its theoretical powder diffraction line list. Radiation: a wavelength of 1.5418 Å. Structure: the PBE+U geometry in the Materials Project.
Neutral-atom scattering factors, no anomalous dispersion.

Peak list (12 most intense, 2θ = 10–90°, sorted by position)
- 2θ = 10.7°, 8.283 Å, rel. 100.0
- 2θ = 17.8°, 4.983 Å, rel. 51.9
- 2θ = 19.8°, 4.477 Å, rel. 42.2
- 2θ = 21.2°, 4.190 Å, rel. 53.7
- 2θ = 22.6°, 3.936 Å, rel. 21.6
- 2θ = 25.6°, 3.478 Å, rel. 32.0
- 2θ = 26.8°, 3.332 Å, rel. 37.5
- 2θ = 28.6°, 3.118 Å, rel. 77.1
- 2θ = 35.4°, 2.537 Å, rel. 14.2
- 2θ = 36.3°, 2.478 Å, rel. 17.8
- 2θ = 41.0°, 2.201 Å, rel. 19.2
- 2θ = 59.3°, 1.559 Å, rel. 18.8

Structural model:
```
LiMnPCO7
1.0
9.413 0.000 0.000
0.000 6.237 0.000
-4.834 0.000 8.954
Li Mn P C O
4 4 4 4 28
Direct
0.238 0.033 0.244
0.238 0.467 0.744
0.762 0.533 0.256
0.762 0.967 0.756
0.173 0.746 0.438
0.173 0.754 0.938
0.827 0.246 0.062
0.827 0.254 0.562
0.075 0.246 0.926
0.075 0.254 0.426
0.925 0.746 0.574
0.925 0.754 0.074
0.453 0.746 0.122
0.453 0.754 0.622
0.547 0.246 0.378
0.547 0.254 0.878
0.035 0.238 0.058
0.035 0.262 0.558
0.086 0.733 0.721
0.086 0.767 0.221
0.176 0.057 0.431
0.176 0.443 0.931
0.188 0.057 0.942
0.188 0.443 0.442
0.330 0.736 0.651
0.330 0.764 0.151
0.398 0.739 0.976
0.398 0.761 0.476
0.404 0.237 0.282
0.404 0.263 0.782
0.596 0.737 0.218
0.596 0.763 0.718
0.602 0.239 0.524
0.602 0.261 0.024
0.670 0.236 0.849
0.670 0.264 0.349
0.812 0.557 0.558
0.812 0.943 0.058
0.824 0.557 0.069
0.824 0.943 0.569
0.914 0.233 0.779
0.914 0.267 0.279
0.965 0.738 0.442
0.965 0.762 0.942
```



(4)
This entry pairs a crystal structure of LiMnPCO7 with its theoretical powder diffraction line list. Radiation: a wavelength of 1.5418 Å. Structure: the PBE+U geometry in the Materials Project.
Neutral-atom scattering factors, no anomalous dispersion.

Peak list (12 most intense, 2θ = 10–90°, sorted by position)
- 2θ = 10.6°, 8.322 Å, rel. 100.0
- 2θ = 17.6°, 5.032 Å, rel. 25.2
- 2θ = 17.9°, 4.949 Å, rel. 23.7
- 2θ = 19.7°, 4.498 Å, rel. 41.1
- 2θ = 21.1°, 4.211 Å, rel. 52.2
- 2θ = 25.4°, 3.513 Å, rel. 13.6
- 2θ = 25.7°, 3.468 Å, rel. 16.4
- 2θ = 26.6°, 3.347 Å, rel. 36.6
- 2θ = 28.6°, 3.117 Å, rel. 82.8
- 2θ = 35.2°, 2.549 Å, rel. 13.9
- 2θ = 36.1°, 2.490 Å, rel. 18.7
- 2θ = 59.3°, 1.559 Å, rel. 13.5

Structural model:
```
LiMnPCO7
1.0
6.237 0.000 0.000
-0.141 8.345 0.000
-0.051 -0.756 10.197
Li Mn P C O
4 4 4 4 28
Direct
0.000 0.000 0.000
0.000 0.003 0.500
0.057 0.520 0.253
0.495 0.519 0.753
0.281 0.931 0.774
0.284 0.931 0.274
0.778 0.590 0.480
0.780 0.590 0.980
0.274 0.686 0.015
0.278 0.687 0.515
0.776 0.835 0.739
0.785 0.834 0.239
0.270 0.211 0.232
0.274 0.210 0.732
0.778 0.310 0.522
0.783 0.310 0.022
0.083 0.573 0.973
0.087 0.572 0.472
0.255 0.088 0.641
0.255 0.352 0.208
0.262 0.846 0.449
0.264 0.726 0.167
0.268 0.846 0.949
0.269 0.088 0.141
0.283 0.156 0.849
0.283 0.726 0.666
0.287 0.352 0.707
0.288 0.157 0.350
0.470 0.585 0.973
0.474 0.588 0.472
0.585 0.946 0.770
0.587 0.932 0.277
0.754 0.675 0.805
0.759 0.432 0.613
0.763 0.365 0.905
0.781 0.364 0.405
0.788 0.432 0.113
0.795 0.168 0.547
0.799 0.168 0.045
0.800 0.675 0.306
0.803 0.795 0.589
0.804 0.796 0.088
0.970 0.938 0.793
0.973 0.950 0.288
```



(5)
This entry pairs a crystal structure of LiMnPCO7 with its theoretical powder diffraction line list. Radiation: a wavelength of 1.5418 Å. Structure: the PBE+U geometry in the Materials Project.
Neutral-atom scattering factors, no anomalous dispersion.

Peak list (12 most intense, 2θ = 10–90°, sorted by position)
- 2θ = 10.6°, 8.333 Å, rel. 100.0
- 2θ = 17.8°, 4.995 Å, rel. 48.4
- 2θ = 19.7°, 4.499 Å, rel. 40.7
- 2θ = 21.1°, 4.217 Å, rel. 51.5
- 2θ = 22.5°, 3.950 Å, rel. 20.0
- 2θ = 25.5°, 3.494 Å, rel. 29.4
- 2θ = 26.6°, 3.348 Å, rel. 35.5
- 2θ = 28.6°, 3.120 Å, rel. 80.1
- 2θ = 35.2°, 2.551 Å, rel. 13.6
- 2θ = 36.1°, 2.490 Å, rel. 15.7
- 2θ = 40.7°, 2.214 Å, rel. 17.0
- 2θ = 44.9°, 2.018 Å, rel. 12.3

Structural model:
```
LiMnPCO7
1.0
5.116 0.000 0.000
0.000 6.240 0.000
-1.211 0.000 16.665
Li Mn P C O
4 4 4 4 28
Direct
0.242 0.029 0.368
0.242 0.471 0.868
0.758 0.529 0.132
0.758 0.971 0.632
0.205 0.240 0.165
0.205 0.260 0.665
0.795 0.740 0.335
0.795 0.760 0.835
0.277 0.746 0.213
0.277 0.754 0.713
0.723 0.246 0.287
0.723 0.254 0.787
0.290 0.234 0.526
0.290 0.266 0.026
0.710 0.734 0.974
0.710 0.766 0.474
0.055 0.250 0.053
0.055 0.250 0.553
0.143 0.739 0.792
0.143 0.761 0.292
0.175 0.552 0.162
0.175 0.948 0.662
0.208 0.563 0.657
0.208 0.937 0.157
0.337 0.220 0.455
0.337 0.280 0.955
0.421 0.225 0.267
0.421 0.275 0.767
0.472 0.235 0.587
0.472 0.265 0.087
0.528 0.735 0.913
0.528 0.765 0.413
0.579 0.725 0.233
0.579 0.775 0.733
0.663 0.720 0.045
0.663 0.780 0.545
0.792 0.063 0.843
0.792 0.437 0.343
0.825 0.052 0.338
0.825 0.448 0.838
0.857 0.239 0.708
0.857 0.261 0.208
0.945 0.750 0.447
0.945 0.750 0.947
```



(6)
This entry pairs a crystal structure of LiMnPCO7 with its theoretical powder diffraction line list. Radiation: a wavelength of 1.5418 Å. Structure: the PBE+U geometry in the Materials Project.
Neutral-atom scattering factors, no anomalous dispersion.

Peak list (12 most intense, 2θ = 10–90°, sorted by position)
- 2θ = 10.6°, 8.351 Å, rel. 100.0
- 2θ = 17.8°, 4.995 Å, rel. 48.1
- 2θ = 19.7°, 4.502 Å, rel. 40.0
- 2θ = 21.1°, 4.218 Å, rel. 52.3
- 2θ = 22.5°, 3.947 Å, rel. 20.8
- 2θ = 25.5°, 3.493 Å, rel. 29.4
- 2θ = 26.6°, 3.354 Å, rel. 36.5
- 2θ = 28.6°, 3.117 Å, rel. 81.1
- 2θ = 32.1°, 2.788 Å, rel. 15.6
- 2θ = 35.2°, 2.551 Å, rel. 13.6
- 2θ = 36.0°, 2.492 Å, rel. 22.0
- 2θ = 40.7°, 2.217 Å, rel. 17.0

Structural model:
```
LiMnPCO7
1.0
8.374 0.000 0.000
0.000 6.232 0.000
-0.748 0.000 10.202
Li Mn P C O
4 4 4 4 28
Direct
0.243 0.031 0.123
0.243 0.469 0.623
0.757 0.531 0.377
0.757 0.969 0.877
0.170 0.748 0.897
0.170 0.752 0.397
0.830 0.248 0.603
0.830 0.252 0.103
0.074 0.247 0.862
0.074 0.253 0.362
0.926 0.747 0.638
0.926 0.753 0.138
0.449 0.750 0.355
0.449 0.750 0.855
0.551 0.250 0.145
0.551 0.250 0.645
0.034 0.241 0.211
0.034 0.259 0.711
0.085 0.723 0.572
0.085 0.777 0.072
0.172 0.056 0.409
0.172 0.444 0.909
0.188 0.058 0.902
0.188 0.442 0.402
0.328 0.728 0.765
0.328 0.772 0.265
0.395 0.744 0.473
0.395 0.756 0.973
0.409 0.236 0.169
0.409 0.264 0.669
0.591 0.736 0.331
0.591 0.764 0.831
0.605 0.244 0.027
0.605 0.256 0.527
0.672 0.228 0.735
0.672 0.272 0.235
0.812 0.558 0.598
0.812 0.942 0.098
0.828 0.556 0.091
0.828 0.944 0.591
0.915 0.223 0.928
0.915 0.277 0.428
0.966 0.741 0.289
0.966 0.759 0.789
```



(7)
This entry pairs a crystal structure of Li6Mn2PC4O16 with its theoretical powder diffraction line list. Radiation: a wavelength of 1.5418 Å. Structure: the PBE+U geometry in the Materials Project.
Neutral-atom scattering factors, no anomalous dispersion.

Peak list (12 most intense, 2θ = 10–90°, sorted by position)
- 2θ = 11.4°, 7.769 Å, rel. 35.9
- 2θ = 18.6°, 4.758 Å, rel. 15.8
- 2θ = 21.9°, 4.057 Å, rel. 100.0
- 2θ = 26.5°, 3.364 Å, rel. 42.5
- 2θ = 34.6°, 2.590 Å, rel. 46.6
- 2θ = 37.8°, 2.379 Å, rel. 31.4
- 2θ = 39.6°, 2.275 Å, rel. 43.1
- 2θ = 44.7°, 2.029 Å, rel. 19.8
- 2θ = 48.3°, 1.884 Å, rel. 13.5
- 2θ = 52.2°, 1.752 Å, rel. 15.9
- 2θ = 59.5°, 1.554 Å, rel. 29.2
- 2θ = 59.9°, 1.544 Å, rel. 15.3

Structural model:
```
Li6Mn2PC4O16
1.0
0.000 6.729 6.729
6.729 0.000 6.729
6.729 6.729 0.000
Li Mn P C O
12 4 2 8 32
Direct
0.074 0.074 0.676
0.074 0.676 0.074
0.074 0.676 0.676
0.324 0.324 0.926
0.324 0.926 0.324
0.324 0.926 0.926
0.676 0.074 0.074
0.676 0.074 0.676
0.676 0.676 0.074
0.926 0.324 0.324
0.926 0.324 0.926
0.926 0.926 0.324
0.000 0.500 0.500
0.500 0.000 0.500
0.500 0.500 0.000
0.500 0.500 0.500
0.125 0.125 0.125
0.875 0.875 0.875
0.277 0.277 0.277
0.277 0.277 0.670
0.277 0.670 0.277
0.330 0.723 0.723
0.670 0.277 0.277
0.723 0.330 0.723
0.723 0.723 0.330
0.723 0.723 0.723
0.058 0.058 0.058
0.058 0.058 0.325
0.058 0.325 0.058
0.136 0.285 0.408
0.136 0.408 0.671
0.136 0.671 0.285
0.285 0.136 0.671
0.285 0.408 0.136
0.285 0.671 0.408
0.325 0.058 0.058
0.329 0.592 0.715
0.329 0.715 0.864
0.329 0.864 0.592
0.408 0.136 0.285
0.408 0.285 0.671
0.408 0.671 0.136
0.592 0.329 0.864
0.592 0.715 0.329
0.592 0.864 0.715
0.671 0.136 0.408
0.671 0.285 0.136
0.671 0.408 0.285
0.675 0.942 0.942
0.715 0.329 0.592
0.715 0.592 0.864
0.715 0.864 0.329
0.864 0.329 0.715
0.864 0.592 0.329
0.864 0.715 0.592
0.942 0.675 0.942
0.942 0.942 0.675
0.942 0.942 0.942
```